Entry 1:
Structure and computed PXRD pattern of TmBe2BRu (DFT lattice parameters and positions (GGA-PBE); copper Kα).
Lines closer than 0.1° are merged.

Most intense lines, 2θ from 10° to 90°, low angle first:
Position (°2θ)  I/Imax
26.4  63
27.2  67
36.0  35
36.8  40
37.4  27
40.4  100
52.9  16
58.7  16
66.0  14
67.7  20

Structure:
Lattice parameters (Å, degrees): 5.5831 5.5831 5.5831 143.72 142.55 53.12
Element x y z (fractional)
Tm (0.0000, 0.0000, 0.0000)
Be (0.6208, 0.6208, 0.0000)
Be (0.7687, 0.2687, 0.5000)
B (0.3906, 0.3906, 0.0000)
Ru (0.2623, 0.7623, 0.5000)


Entry 2:
Structure and computed PXRD pattern of Nd5Dy2Mg (DFT lattice parameters and positions (GGA-PBE); copper Kα).
Lines closer than 0.1° are merged.

Most intense lines, 2θ from 10° to 90°, low angle first:
Position (°2θ)  I/Imax
28.3  25
31.1  25
32.4  100
42.5  16
50.1  19
56.1  20
60.2  22
60.9  16
82.7  13
86.2  8

Structure:
Lattice parameters (Å, degrees): 8.5347 7.2798 6.8080 74.49 55.28 50.23
Element x y z (fractional)
Nd (0.0000, 0.0000, 0.0000)
Nd (0.0010, 0.4802, 0.9990)
Nd (0.4094, 0.4094, 0.0906)
Nd (0.4802, 0.0010, 0.5198)
Nd (0.9094, 0.9094, 0.5906)
Dy (0.4151, 0.8990, 0.1010)
Dy (0.8990, 0.4151, 0.5849)
Mg (0.4943, 0.4943, 0.5057)


Entry 3:
Structure and computed PXRD pattern of Ac2AgC2O7 (DFT lattice parameters and positions (GGA-PBE); copper Kα).
Lines closer than 0.1° are merged.

Most intense lines, 2θ from 10° to 90°, low angle first:
Position (°2θ)  I/Imax
17.6  64
19.5  69
20.2  93
24.3  70
28.4  100
33.7  75
42.0  28
44.6  40
49.9  30
57.1  27

Structure:
Lattice parameters (Å, degrees): 10.5130 10.5130 10.5130 29.29 29.29 29.29
Element x y z (fractional)
Ac (0.0731, 0.0731, 0.0731)
Ac (0.9269, 0.9269, 0.9269)
Ag (0.5000, 0.5000, 0.5000)
C (0.2466, 0.2466, 0.2466)
C (0.7534, 0.7534, 0.7534)
O (0.0000, 0.0000, 0.0000)
O (0.0358, 0.6120, 0.6120)
O (0.3880, 0.3880, 0.9642)
O (0.3880, 0.9642, 0.3880)
O (0.6120, 0.0358, 0.6120)
O (0.6120, 0.6120, 0.0358)
O (0.9642, 0.3880, 0.3880)